[1]
This entry pairs a crystal structure of RbZrAgF6 with its simulated powder X-ray diffraction pattern. Radiation: Cu Kα (λ = 1.5418 Å). Structure: a structure optimized by DFT (PBE).
Lines closer than 0.1° are merged.

Cell and atoms:
a b c (Å): 6.2521 6.2521 11.0113
angles (deg): 90.00 90.00 120.00
Positions (direct):
Rb 0.0000 0.0000 0.0000
Rb 0.0000 0.0000 0.5000
Zr 0.3333 0.6667 0.2500
Zr 0.6667 0.3333 0.7500
Ag 0.3333 0.6667 0.7500
Ag 0.6667 0.3333 0.2500
F 0.0552 0.4024 0.1458
F 0.0552 0.6528 0.3542
F 0.3472 0.4024 0.3542
F 0.3472 0.9448 0.1458
F 0.4024 0.0552 0.6458
F 0.4024 0.3472 0.8542
F 0.5976 0.6528 0.1458
F 0.5976 0.9448 0.3542
F 0.6528 0.0552 0.8542
F 0.6528 0.5976 0.6458
F 0.9448 0.3472 0.6458
F 0.9448 0.5976 0.8542

Main lines, sorted by position (5° ≤ 2θ ≤ 70°):
2θ/deg, I (rel.)
16.1, 23.9
23.0, 100.0
28.6, 45.1
32.9, 19.8
37.0, 25.1
43.8, 52.2
47.4, 26.7
50.6, 19.0



[2]
This entry pairs a crystal structure of Ag3RhF6 with its simulated powder X-ray diffraction pattern. Radiation: Cu Kα (λ = 1.5418 Å). Structure: a structure optimized by DFT (PBE).
Lines closer than 0.1° are merged.

Cell and atoms:
a b c (Å): 5.9268 5.9268 6.2012
angles (deg): 120.64 120.64 58.80
Positions (direct):
Ag 0.0000 0.0000 0.0000
Ag 0.2709 0.2709 0.7865
Ag 0.7291 0.7291 0.2135
Rh 0.5000 0.5000 0.5000
F 0.1859 0.6601 0.2114
F 0.2803 0.2803 0.4211
F 0.3399 0.8141 0.7886
F 0.6601 0.1859 0.2114
F 0.7197 0.7197 0.5789
F 0.8141 0.3399 0.7886

Main lines, sorted by position (5° ≤ 2θ ≤ 70°):
2θ/deg, I (rel.)
28.8, 41.3
29.8, 100.0
30.2, 95.9
30.7, 44.2
42.6, 53.6
51.4, 24.4
52.2, 31.8
54.0, 41.7